(1)
For TlRh2, DFT lattice parameters and positions (GGA-PBE) gives the computed PXRD pattern in this record (Cu Kα, 1.54184 Å).

Crystal structure
```
data_TlRh2
_space_group_name_H-M_alt 'P n m a'
_space_group_IT_number 62
_cell_length_a 5.742
_cell_length_b 4.181
_cell_length_c 8.407
_cell_angle_alpha 90.00
_cell_angle_beta 90.00
_cell_angle_gamma 90.00
loop_
_space_group_symop_operation_xyz
'x,y,z'
'-x,-y,-z'
'-x+1/2,-y,z+1/2'
'x+1/2,y,-z+1/2'
'x+1/2,-y+1/2,-z+1/2'
'-x+1/2,y+1/2,z+1/2'
'-x,y+1/2,-z'
'x,-y+1/2,z'
loop_
_atom_site_label
_atom_site_type_symbol
_atom_site_fract_x
_atom_site_fract_y
_atom_site_fract_z
Tl1 Tl 0.152 0.250 0.096
Rh1 Rh 0.092 0.250 0.752
Rh2 Rh 0.136 0.250 0.426
```

Main lines, sorted by position (10 to 90 degrees two-theta):
2θ 26.27, intensity 12; 2θ 38.02, intensity 100; 2θ 38.68, intensity 99; 2θ 43.28, intensity 37; 2θ 45.22, intensity 57; 2θ 64.38, intensity 40; 2θ 75.89, intensity 13; 2θ 76.31, intensity 13; 2θ 78.24, intensity 16; 2θ 79.49, intensity 19

***

(2)
For Tl3Rh, DFT lattice parameters and positions (GGA-PBE) gives the computed PXRD pattern in this record (Cu Kα, 1.54184 Å).

Crystal structure
```
data_Tl3Rh
_space_group_name_H-M_alt 'C m c m'
_space_group_IT_number 63
_space_group_name_Hall '-C 2c 2'
_cell_length_a 10.588
_cell_length_b 11.816
_cell_length_c 3.308
_cell_angle_alpha 90.00
_cell_angle_beta 90.00
_cell_angle_gamma 90.00
loop_
_atom_site_label
_atom_site_type_symbol
_atom_site_fract_x
_atom_site_fract_y
_atom_site_fract_z
Tl1 Tl 0.000 0.162 0.250
Tl2 Tl 0.213 0.376 0.250
Rh1 Rh 0.000 0.410 0.750
```

Main lines, sorted by position (10 to 90 degrees two-theta):
2θ 29.28, intensity 13; 2θ 30.25, intensity 32; 2θ 33.87, intensity 21; 2θ 34.11, intensity 18; 2θ 35.42, intensity 100; 2θ 44.00, intensity 10; 2θ 46.04, intensity 11; 2θ 51.84, intensity 13; 2θ 57.15, intensity 11; 2θ 65.59, intensity 13

***

(3)
For TlRh, DFT lattice parameters and positions (GGA-PBE) gives the computed PXRD pattern in this record (Cu Kα, 1.54184 Å).

Crystal structure
```
data_TlRh
_space_group_name_H-M_alt 'I 4/m m m'
_space_group_IT_number 139
_space_group_name_Hall '-I 4 2'
_cell_length_a 8.368
_cell_length_b 8.368
_cell_length_c 4.612
_cell_angle_alpha 90.00
_cell_angle_beta 90.00
_cell_angle_gamma 90.00
loop_
_atom_site_label
_atom_site_type_symbol
_atom_site_fract_x
_atom_site_fract_y
_atom_site_fract_z
Tl1 Tl 0.000 0.274 0.000
Rh1 Rh 0.170 0.170 0.500
```

Main lines, sorted by position (10 to 90 degrees two-theta):
2θ 30.21, intensity 37; 2θ 30.77, intensity 38; 2θ 37.69, intensity 100; 2θ 39.06, intensity 34; 2θ 43.66, intensity 26; 2θ 46.01, intensity 17; 2θ 50.16, intensity 19; 2θ 61.90, intensity 14; 2θ 69.86, intensity 16; 2θ 84.40, intensity 15

***

(4)
For Tl3Rh, DFT lattice parameters and positions (GGA-PBE) gives the computed PXRD pattern in this record (Cu Kα, 1.54184 Å).

Crystal structure
```
data_Tl3Rh
_space_group_name_H-M_alt 'I m m m'
_space_group_IT_number 71
_space_group_name_Hall '-I 2 2'
_cell_length_a 3.127
_cell_length_b 4.688
_cell_length_c 14.172
_cell_angle_alpha 90.00
_cell_angle_beta 90.00
_cell_angle_gamma 90.00
loop_
_atom_site_label
_atom_site_type_symbol
_atom_site_fract_x
_atom_site_fract_y
_atom_site_fract_z
Tl1 Tl 0.000 0.000 0.000
Tl2 Tl 0.000 0.500 0.178
Rh1 Rh 0.000 0.000 0.500
```

Main lines, sorted by position (10 to 90 degrees two-theta):
2θ 26.79, intensity 87; 2θ 29.25, intensity 21; 2θ 34.40, intensity 19; 2θ 36.81, intensity 100; 2θ 38.10, intensity 33; 2θ 38.40, intensity 36; 2θ 43.12, intensity 51; 2θ 55.21, intensity 23; 2θ 59.07, intensity 24; 2θ 63.54, intensity 30

***

(5)
For Tl2Rh3, DFT lattice parameters and positions (GGA-PBE) gives the computed PXRD pattern in this record (Cu Kα, 1.54184 Å).

Crystal structure
```
data_Tl2Rh3
_space_group_name_H-M_alt 'C m m m'
_space_group_IT_number 65
_space_group_name_Hall '-C 2 2'
_cell_length_a 4.626
_cell_length_b 12.775
_cell_length_c 3.051
_cell_angle_alpha 90.00
_cell_angle_beta 90.00
_cell_angle_gamma 90.00
loop_
_atom_site_label
_atom_site_type_symbol
_atom_site_fract_x
_atom_site_fract_y
_atom_site_fract_z
Tl1 Tl 0.000 0.126 0.000
Rh1 Rh 0.000 0.319 0.500
Rh2 Rh 0.000 0.500 0.000
```

Main lines, sorted by position (10 to 90 degrees two-theta):
2θ 27.94, intensity 21; 2θ 29.27, intensity 15; 2θ 32.53, intensity 15; 2θ 35.96, intensity 28; 2θ 38.94, intensity 42; 2θ 40.33, intensity 45; 2θ 41.31, intensity 100; 2θ 66.04, intensity 17; 2θ 72.13, intensity 19; 2θ 79.40, intensity 21

***

(6)
For Tm3Tl2Rh, DFT lattice parameters and positions (GGA-PBE) gives the computed PXRD pattern in this record (Cu Kα, 1.54184 Å).

Crystal structure
```
data_Tm3Tl2Rh
_space_group_name_H-M_alt 'P 1 2/m 1'
_space_group_IT_number 10
_cell_length_a 5.145
_cell_length_b 7.411
_cell_length_c 8.011
_cell_angle_alpha 90.00
_cell_angle_beta 108.64
_cell_angle_gamma 90.00
loop_
_space_group_symop_operation_xyz
'x,y,z'
'-x,-y,-z'
'-x,y,-z'
'x,-y,z'
loop_
_atom_site_label
_atom_site_type_symbol
_atom_site_fract_x
_atom_site_fract_y
_atom_site_fract_z
Tm1 Tm 0.000 0.233 0.000
Tm2 Tm 0.325 0.221 0.647
Tl1 Tl 0.160 0.500 0.329
Tl2 Tl 0.500 0.000 0.000
Tl3 Tl 0.500 0.500 0.000
Rh1 Rh 0.117 0.000 0.319
```

Main lines, sorted by position (10 to 90 degrees two-theta):
2θ 34.70, intensity 100; 2θ 34.88, intensity 26; 2θ 35.48, intensity 24; 2θ 49.17, intensity 8; 2θ 50.60, intensity 17; 2θ 61.69, intensity 8; 2θ 62.09, intensity 8; 2θ 62.43, intensity 17; 2θ 63.20, intensity 16; 2θ 73.23, intensity 9

***

- Number 2 is which compound?
  Tl3Rh